Entry 1:
Nd4Sm2ThMg: calculated powder diffractogram (Cu Kα (λ = 1.5418 Å)), based on DFT lattice parameters and positions (PBE).

```
data_Nd4Sm2ThMg
_symmetry_space_group_name_H-M 'P 4/m m m'
_symmetry_Int_Tables_number 123
_symmetry_space_group_name_Hall '-P 4 2'
_cell_length_a 5.956
_cell_length_b 5.956
_cell_length_c 7.452
_cell_angle_alpha 90.00
_cell_angle_beta 90.00
_cell_angle_gamma 90.00
loop_
_atom_site_label
_atom_site_fract_x
_atom_site_fract_y
_atom_site_fract_z
Nd1 0.000 0.500 0.236
Sm1 0.000 0.000 0.500
Sm2 0.500 0.500 0.500
Th1 0.000 0.000 0.000
Mg1 0.500 0.500 0.000
```

Largest 12 diffraction maxima, low angle first, 10 to 90 degrees two-theta:
d (Å)  intensity  hkl
5.956  9  1 0 0
4.653  11  1 0 1
2.978  60  2 0 0
2.791  100  1 1 2
2.106  23  2 2 0
1.681  45  3 1 2
1.579  17  2 0 4
1.489  8  4 0 0
1.395  11  2 2 4
1.332  11  4 2 0
1.314  10  3 3 2
1.115  12  5 1 2

***

Entry 2:
UTl3Bi3Se8: calculated powder diffractogram (Cu Kα (λ = 1.5418 Å)), based on DFT lattice parameters and positions (PBE).

```
data_UTl3Bi3Se8
_symmetry_space_group_name_H-M 'R -3 m'
_symmetry_Int_Tables_number 166
_symmetry_space_group_name_Hall '-R 3 2"'
_cell_length_a 8.5114
_cell_length_b 8.5114
_cell_length_c 23.2723
_cell_angle_alpha 90.00
_cell_angle_beta 90.00
_cell_angle_gamma 120.00
loop_
_atom_site_label
_atom_site_fract_x
_atom_site_fract_y
_atom_site_fract_z
U1 0.0000 0.0000 0.0000
Tl1 0.0000 0.5000 0.5000
Bi1 0.0000 0.5000 0.0000
Se1 0.0000 0.0000 0.2614
Se2 0.0125 0.5062 0.7358
```

Largest 12 diffraction maxima, low angle first, 10 to 90 degrees two-theta:
d (Å)  intensity  hkl
7.757  11  0 0 3
7.027  10  1 0 1
3.879  10  0 0 6
3.514  21  2 0 2
3.113  100  0 2 4
2.283  39  2 0 8
2.128  36  2 2 0
1.757  19  4 0 4
1.557  12  0 4 8
1.433  15  2 2 12
1.355  16  2 4 4
1.256  12  4 2 8

***

Entry 3:
BaCaZn2: calculated powder diffractogram (Cu Kα (λ = 1.5418 Å)), based on DFT lattice parameters and positions (PBE).

```
data_BaCaZn2
_symmetry_space_group_name_H-M 'P 1 m 1'
_symmetry_Int_Tables_number 6
_cell_length_a 4.404
_cell_length_b 4.530
_cell_length_c 6.770
_cell_angle_alpha 90.00
_cell_angle_beta 108.92
_cell_angle_gamma 90.00
loop_
_symmetry_equiv_pos_as_xyz
'x,y,z'
'x,-y,z'
loop_
_atom_site_label
_atom_site_fract_x
_atom_site_fract_y
_atom_site_fract_z
Ba1 0.000 0.000 0.000
Ca1 0.716 0.500 0.431
Zn1 0.283 0.000 0.564
Zn2 0.390 0.500 0.780
```

Largest 12 diffraction maxima, low angle first, 10 to 90 degrees two-theta:
d (Å)  intensity  hkl
6.404  17  0 0 1
4.165  13  1 0 -1
3.698  11  0 1 1
3.066  100  1 0 1
2.615  30  0 1 2
2.539  33  1 1 1
2.265  16  0 2 0
2.202  15  2 0 -1
1.931  10  0 1 3
1.822  18  1 2 1
1.684  16  2 1 -3
1.354  12  1 2 3

***

Entry 4:
SrCa7Ac3: calculated powder diffractogram (Cu Kα (λ = 1.5418 Å)), based on DFT lattice parameters and positions (PBE).

```
data_SrCa7Ac3
_symmetry_space_group_name_H-M 'P 3 m 1'
_symmetry_Int_Tables_number 156
_cell_length_a 7.8113
_cell_length_b 7.8113
_cell_length_c 9.6618
_cell_angle_alpha 90.00
_cell_angle_beta 90.00
_cell_angle_gamma 120.00
loop_
_symmetry_equiv_pos_as_xyz
'x,y,z'
'-y,x-y,z'
'-x+y,-x,z'
'-y,-x,z'
'-x+y,y,z'
'x,x-y,z'
loop_
_atom_site_label
_atom_site_fract_x
_atom_site_fract_y
_atom_site_fract_z
Sr1 0.0000 0.0000 0.0000
Ca1 0.3333 0.6667 0.6808
Ca2 0.3397 0.1699 0.6709
Ca3 0.5016 0.0031 0.0082
Ac1 0.1678 0.3357 0.3434
```

Largest 12 diffraction maxima, low angle first, 10 to 90 degrees two-theta:
d (Å)  intensity  hkl
6.765  25  1 0 0
5.542  25  0 1 1
4.831  15  0 0 2
3.382  19  2 0 0
3.221  28  0 0 3
3.192  100  0 2 1
2.771  68  2 0 2
1.966  26  0 2 4
1.953  20  2 2 0
1.678  15  2 0 5
1.670  25  2 2 3
1.666  15  4 0 1

***

Entry 5:
Sc6Si7Ni16: calculated powder diffractogram (Cu Kα (λ = 1.5418 Å)), based on DFT lattice parameters and positions (PBE).

```
data_Sc6Si7Ni16
_symmetry_space_group_name_H-M 'F m -3 m'
_symmetry_Int_Tables_number 225
_symmetry_space_group_name_Hall '-F 4 2 3'
_cell_length_a 11.441
_cell_length_b 11.441
_cell_length_c 11.441
_cell_angle_alpha 90.00
_cell_angle_beta 90.00
_cell_angle_gamma 90.00
loop_
_atom_site_label
_atom_site_fract_x
_atom_site_fract_y
_atom_site_fract_z
Sc1 0.000 0.000 0.207
Si1 0.000 0.000 0.500
Si2 0.000 0.250 0.250
Ni1 0.119 0.119 0.381
Ni2 0.169 0.169 0.169
```

Largest 12 diffraction maxima, low angle first, 10 to 90 degrees two-theta:
d (Å)  intensity  hkl
6.606  15  1 1 1
5.721  20  2 0 0
2.860  15  4 0 0
2.335  14  4 2 2
2.202  79  3 3 3
2.023  100  4 4 0
1.934  37  5 3 1
1.745  19  5 3 3
1.348  14  6 6 0
1.199  14  9 3 1
1.168  14  8 4 4
1.150  20  9 3 3

***

Entry 6:
SiSbPt: calculated powder diffractogram (Cu Kα (λ = 1.5418 Å)), based on DFT lattice parameters and positions (PBE).

```
data_SiSbPt
_symmetry_space_group_name_H-M 'P b c a'
_symmetry_Int_Tables_number 61
_cell_length_a 6.397
_cell_length_b 6.413
_cell_length_c 11.604
_cell_angle_alpha 90.00
_cell_angle_beta 90.00
_cell_angle_gamma 90.00
loop_
_symmetry_equiv_pos_as_xyz
'x,y,z'
'-x,-y,-z'
'-x+1/2,-y,z+1/2'
'x+1/2,y,-z+1/2'
'x+1/2,-y+1/2,-z'
'-x+1/2,y+1/2,z'
'-x,y+1/2,-z+1/2'
'x,-y+1/2,z+1/2'
loop_
_atom_site_label
_atom_site_fract_x
_atom_site_fract_y
_atom_site_fract_z
Si1 0.146 0.235 0.074
Sb1 0.117 0.506 0.827
Pt1 0.012 0.618 0.607
```

Largest 12 diffraction maxima, low angle first, 10 to 90 degrees two-theta:
d (Å)  intensity  hkl
4.219  62  1 1 1
3.570  100  1 1 2
3.201  80  2 0 0
3.091  46  0 2 1
2.901  63  0 0 4
2.779  65  2 1 1
2.469  45  0 2 3
2.065  75  1 1 5
1.995  67  3 1 1
1.954  49  2 2 3
1.912  68  1 3 2
1.794  44  1 3 3

***

Entry 7:
Pm8Zn2Ir3: calculated powder diffractogram (Cu Kα (λ = 1.5418 Å)), based on DFT lattice parameters and positions (PBE).

```
data_Pm8Zn2Ir3
_symmetry_space_group_name_H-M 'P 1 2/m 1'
_symmetry_Int_Tables_number 10
_cell_length_a 8.690
_cell_length_b 5.016
_cell_length_c 8.700
_cell_angle_alpha 90.00
_cell_angle_beta 109.06
_cell_angle_gamma 90.00
loop_
_symmetry_equiv_pos_as_xyz
'x,y,z'
'-x,-y,-z'
'-x,y,-z'
'x,-y,z'
loop_
_atom_site_label
_atom_site_fract_x
_atom_site_fract_y
_atom_site_fract_z
Pm1 0.119 0.000 0.383
Pm2 0.131 0.500 0.869
Pm3 0.370 0.500 0.633
Pm4 0.380 0.000 0.119
Zn1 0.247 0.500 0.253
Ir1 0.244 0.000 0.744
Ir2 0.500 0.500 0.000
```

Largest 12 diffraction maxima, low angle first, 10 to 90 degrees two-theta:
d (Å)  intensity  hkl
7.082  18  1 0 -1
4.101  9  2 0 0
3.557  6  1 1 1
2.523  20  2 0 2
2.509  100  0 2 0
1.779  14  2 2 2
1.770  7  4 0 -4
1.454  15  5 1 1
1.449  21  3 3 -1
1.446  7  4 2 -4
1.255  11  0 4 0
1.124  6  5 3 1

***

Entry 8:
Mg7TlBi2: calculated powder diffractogram (Cu Kα (λ = 1.5418 Å)), based on DFT lattice parameters and positions (PBE).

```
data_Mg7TlBi2
_symmetry_space_group_name_H-M 'I 4/m m m'
_symmetry_Int_Tables_number 139
_symmetry_space_group_name_Hall '-I 4 2'
_cell_length_a 4.752
_cell_length_b 4.752
_cell_length_c 24.257
_cell_angle_alpha 90.00
_cell_angle_beta 90.00
_cell_angle_gamma 90.00
loop_
_atom_site_label
_atom_site_fract_x
_atom_site_fract_y
_atom_site_fract_z
Mg1 0.000 0.000 0.000
Mg2 0.000 0.500 0.084
Mg3 0.000 0.500 0.250
Tl1 0.000 0.000 0.500
Bi1 0.000 0.000 0.170
```

Largest 12 diffraction maxima, low angle first, 10 to 90 degrees two-theta:
d (Å)  intensity  hkl
4.097  100  1 0 3
4.043  16  0 0 6
3.360  21  1 1 0
2.584  57  1 1 6
2.376  23  2 0 0
2.344  24  1 0 9
2.055  33  2 1 3
2.048  11  2 0 6
1.680  8  2 2 0
1.669  17  2 1 9
1.540  12  2 0 12
1.409  18  3 1 6

***

Entry 9:
Li5Ca2Cu12: calculated powder diffractogram (Cu Kα (λ = 1.5418 Å)), based on DFT lattice parameters and positions (PBE).

```
data_Li5Ca2Cu12
_symmetry_space_group_name_H-M 'R -3 m'
_symmetry_Int_Tables_number 166
_symmetry_space_group_name_Hall '-R 3 2"'
_cell_length_a 8.7106
_cell_length_b 8.7106
_cell_length_c 12.5562
_cell_angle_alpha 90.00
_cell_angle_beta 90.00
_cell_angle_gamma 120.00
loop_
_atom_site_label
_atom_site_fract_x
_atom_site_fract_y
_atom_site_fract_z
Li1 0.0000 0.0000 0.0920
Li2 0.0000 0.5000 0.5000
Ca1 0.0000 0.0000 0.3502
Cu1 0.0000 0.3054 0.0000
Cu2 0.0018 0.5009 0.1592
```

Largest 12 diffraction maxima, low angle first, 10 to 90 degrees two-theta:
d (Å)  intensity  hkl
4.355  56  1 1 0
3.233  29  2 0 2
2.515  24  3 0 0
2.413  32  0 2 4
2.178  16  2 2 0
2.155  100  0 3 3
2.093  34  0 0 6
1.932  57  2 2 3
1.886  15  1 1 6
1.372  16  3 3 3
1.257  14  6 0 0
1.220  12  0 3 9

***

Entry 10:
Pm8Tl3: calculated powder diffractogram (Cu Kα (λ = 1.5418 Å)), based on DFT lattice parameters and positions (PBE).

```
data_Pm8Tl3
_symmetry_space_group_name_H-M 'R -3'
_symmetry_Int_Tables_number 148
_symmetry_space_group_name_Hall '-R 3'
_cell_length_a 10.3159
_cell_length_b 10.3159
_cell_length_c 12.8268
_cell_angle_alpha 90.00
_cell_angle_beta 90.00
_cell_angle_gamma 120.00
loop_
_atom_site_label
_atom_site_fract_x
_atom_site_fract_y
_atom_site_fract_z
Pm1 0.0000 0.0000 0.1426
Pm2 0.0277 0.7948 0.6123
Tl1 0.0000 0.5000 0.5000
```

Largest 12 diffraction maxima, low angle first, 10 to 90 degrees two-theta:
d (Å)  intensity  hkl
4.218  14  0 2 1
3.292  23  1 1 3
3.265  100  3 -1 1
3.018  40  1 0 4
2.988  41  3 -2 2
2.605  15  0 2 4
2.225  22  2 0 5
2.208  51  2 2 3
2.200  17  4 0 1
1.951  21  4 1 0
1.646  17  4 -2 6
1.633  14  6 -2 2

***

Entry 11:
Sr4HfTi3O12: calculated powder diffractogram (Cu Kα (λ = 1.5418 Å)), based on DFT lattice parameters and positions (PBE).

```
data_Sr4HfTi3O12
_symmetry_space_group_name_H-M 'C m m m'
_symmetry_Int_Tables_number 65
_symmetry_space_group_name_Hall '-C 2 2'
_cell_length_a 7.988
_cell_length_b 15.951
_cell_length_c 4.010
_cell_angle_alpha 90.00
_cell_angle_beta 90.00
_cell_angle_gamma 90.00
loop_
_atom_site_label
_atom_site_fract_x
_atom_site_fract_y
_atom_site_fract_z
Sr1 0.241 0.128 0.000
Hf1 0.000 0.500 0.500
Ti1 0.000 0.000 0.500
Ti2 0.000 0.250 0.500
O1 0.000 0.000 0.000
O2 0.000 0.125 0.500
O3 0.000 0.247 0.000
O4 0.000 0.370 0.500
O5 0.000 0.500 0.000
O6 0.242 0.000 0.500
O7 0.250 0.250 0.500
```

Largest 12 diffraction maxima, low angle first, 10 to 90 degrees two-theta:
d (Å)  intensity  hkl
7.976  6  0 2 0
7.143  9  1 1 0
3.577  6  2 2 0
3.497  6  1 1 1
2.827  100  0 4 1
2.005  12  0 0 2
1.996  24  0 8 0
1.635  13  2 4 2
1.631  25  2 8 1
1.414  14  0 8 2
1.411  7  4 8 0
1.154  7  4 8 2

***

Entry 12:
BaAu2S8: calculated powder diffractogram (Cu Kα (λ = 1.5418 Å)), based on DFT lattice parameters and positions (PBE).

```
data_BaAu2S8
_symmetry_space_group_name_H-M 'P -1'
_symmetry_Int_Tables_number 2
_cell_length_a 5.461
_cell_length_b 6.293
_cell_length_c 9.139
_cell_angle_alpha 94.86
_cell_angle_beta 90.35
_cell_angle_gamma 109.62
loop_
_symmetry_equiv_pos_as_xyz
'x,y,z'
'-x,-y,-z'
loop_
_atom_site_label
_atom_site_fract_x
_atom_site_fract_y
_atom_site_fract_z
Ba1 0.000 0.000 0.000
Au1 0.225 0.593 0.327
S1 0.182 0.560 0.053
S2 0.215 0.613 0.611
S3 0.333 0.168 0.706
S4 0.418 0.883 0.757
```

Largest 12 diffraction maxima, low angle first, 10 to 90 degrees two-theta:
d (Å)  intensity  hkl
5.902  29  0 1 0
4.755  93  0 1 1
4.548  45  1 0 -1
4.283  76  1 -1 1
3.776  22  0 1 -2
3.349  32  1 0 2
3.224  44  -1 1 2
3.073  20  1 1 1
3.037  100  1 -2 0
2.231  35  1 -2 3
2.110  26  2 1 0
1.887  24  2 -3 1